Calculated X-ray powder pattern
Compound: Sm4S5Cl
Radiation: Cu Kα X-rays
Structure: a crystal structure in Alexandria, relaxed with PBE
Peak positions follow from Bragg's law for the DFT cell and can differ from measured ones.

Largest 10 diffraction maxima, most intense first, 10 to 90 degrees two-theta:
- hkl 0 2 1, 2θ 22.73, I = 100.0
- hkl 2 0 1, 2θ 24.37, I = 95.0
- hkl 2 2 2, 2θ 38.51, I = 81.1
- hkl 2 4 1, 2θ 45.43, I = 33.6
- hkl 2 2 0, 2θ 27.87, I = 29.5
- hkl 4 2 1, 2θ 48.14, I = 22.1
- hkl 0 4 0, 2θ 37.73, I = 20.8
- hkl 0 2 3, 2θ 44.00, I = 18.4
- hkl 4 0 0, 2θ 41.84, I = 16.9
- hkl 0 0 2, 2θ 26.05, I = 16.0

Cell: 8.6360 9.5370 6.8435 Å, 90.00 90.00 90.00°
Positions (direct):
1 Sm 0.0253 0.2500 0.0336
2 Sm 0.2500 0.0131 0.5175
3 Sm 0.2500 0.4869 0.5175
4 Sm 0.4747 0.2500 0.0336
5 Sm 0.5253 0.7500 0.9664
6 Sm 0.7500 0.5131 0.4825
7 Sm 0.7500 0.9869 0.4825
8 Sm 0.9747 0.7500 0.9664
9 S 0.0109 0.5467 0.2453
10 S 0.0109 0.9533 0.2453
11 S 0.2500 0.2500 0.3104
12 S 0.4891 0.5467 0.2453
13 S 0.4891 0.9533 0.2453
14 S 0.5109 0.0467 0.7547
15 S 0.5109 0.4533 0.7547
16 S 0.7500 0.7500 0.6896
17 S 0.9891 0.0467 0.7547
18 S 0.9891 0.4533 0.7547
19 Cl 0.2500 0.7500 0.7256
20 Cl 0.7500 0.2500 0.2744